Diffraction record for TmCu12Si4. The powder diffractogram is theoretical, not measured: it uses a crystal structure in Alexandria, relaxed with GGA-PBE and Cu Kα, 1.54184 Å.

```
17
Lattice="-4.0481 4.0481 4.0481 4.0481 -4.0481 4.0481 4.0481 4.0481 -4.0481" Properties=species:S:1:pos:R:3 pbc="T T T"
Tm 0.0000 0.0000 0.0000
Cu 2.8390 1.2569 0.0000
Cu 5.2573 1.2569 0.0000
Cu 4.0481 -1.2092 2.7913
Cu 2.7913 4.0481 -1.2092
Cu 1.2569 0.0000 2.8390
Cu 4.0481 1.2092 2.7913
Cu 0.0000 2.8390 1.2569
Cu 2.7913 4.0481 1.2092
Cu 1.2569 0.0000 5.2573
Cu 0.0000 5.2573 1.2569
Cu -1.2092 2.7913 4.0481
Cu 1.2092 2.7913 4.0481
Si 2.0241 2.0241 -2.0241
Si 2.0241 -2.0241 2.0241
Si -2.0241 2.0241 2.0241
Si 2.0241 2.0241 2.0241
```

Largest 10 diffraction maxima, by intensity, 2θ from 5° to 70°:
- 35.05°, rel. 100
- 41.74°, rel. 52
- 58.09°, rel. 37
- 55.61°, rel. 19
- 69.68°, rel. 12
- 15.48°, rel. 6
- 67.45°, rel. 5
- 26.98°, rel. 5
- 21.96°, rel. 5
- 31.25°, rel. 4